This entry pairs a crystal structure of NiHF with its theoretical PXRD pattern. Radiation: Cu Kα. Structure: a structure optimized by DFT (PBE+U).

Most intense lines, 15 to 90 degrees two-theta, sorted by position:
2θ (°)	I_rel	h k l
34.97	18	0 1 0
36.28	28	1 0 1
36.87	56	0 1 1
37.65	25	0 1 -1
40.80	100	1 0 2
44.21	16	0 1 -2
47.80	37	1 0 -2
47.93	37	1 1 3
51.48	26	0 0 4
64.34	14	2 1 1

Crystal structure
a b c (Å): 2.896 2.946 7.246
angles (deg): 82.88 78.61 60.62
Space group P-1 (No. 2)
Asymmetric unit:
Ni  0.225  0.183  0.366 [2 per cell]
H  0.000  0.000  0.000 [1 per cell]
H  0.500  0.500  0.500 [1 per cell]
F  0.161  0.827  0.853 [2 per cell]